This entry pairs a crystal structure of Pm2PbF with its simulated powder XRD pattern. Radiation: copper Kα. Structure: a crystal structure in Alexandria, relaxed with PBE.
No peak broadening, texture or thermal motion is included.

Structure:
```
Pm2PbF
1.0
7.6298 0.0000 0.0000
0.0000 6.8919 0.0000
-1.6637 0.0000 8.1742
Pm Pb F
8 4 4
direct
0.0658 0.1233 0.3291
0.0658 0.3767 0.8291
0.3364 0.6712 0.5170
0.3364 0.8288 0.0170
0.6636 0.1712 0.9830
0.6636 0.3288 0.4830
0.9342 0.6233 0.1709
0.9342 0.8767 0.6709
0.3297 0.1211 0.6693
0.3297 0.3789 0.1693
0.6703 0.6211 0.8307
0.6703 0.8789 0.3307
0.1964 0.6646 0.7542
0.1964 0.8354 0.2542
0.8036 0.1646 0.7458
0.8036 0.3354 0.2458
```

The 10 most intense peaks (2θ from 10° to 90°), by angle:
d = 3.318 Å, intensity 19, (1 0 2)
d = 3.081 Å, intensity 29, (2 0 -2)
d = 3.008 Å, intensity 100, (1 2 -1)
d = 2.990 Å, intensity 50, (1 1 2)
d = 2.879 Å, intensity 21, (2 1 1)
d = 2.813 Å, intensity 30, (2 1 -2)
d = 2.534 Å, intensity 36, (0 1 3)
d = 2.492 Å, intensity 24, (3 0 0)
d = 2.333 Å, intensity 33, (2 2 1)
d = 1.991 Å, intensity 23, (1 1 -4)